Record 1
This entry pairs a crystal structure of LiLa3Sb2 with its simulated powder XRD pattern. Radiation: Cu Kα, 1.54184 Å. Structure: a GGA-PBE-relaxed structure.

```
6
Lattice="-2.0541 2.6743 9.0137 2.0541 -2.6743 9.0137 2.0541 2.6743 -9.0137" Properties=species:S:1:pos:R:3 pbc="T T T"
Li 0.0000 0.0000 0.0000
La 0.0000 0.0000 3.1729
La 0.0000 2.6743 0.0000
La 0.0000 0.0000 14.8546
Sb 0.0000 0.0000 6.3766
Sb 0.0000 0.0000 11.6509
```

The 8 most intense peaks (10 to 90 degrees two-theta), in order of rising 2θ:
22.23 deg, I = 34; 27.37 deg, I = 67; 29.15 deg, I = 100; 29.73 deg, I = 60; 33.06 deg, I = 38; 33.51 deg, I = 58; 33.95 deg, I = 90; 45.40 deg, I = 38

***

Record 2
This entry pairs a crystal structure of LiLa2Sb with its simulated powder XRD pattern. Radiation: Cu Kα, 1.54184 Å. Structure: a GGA-PBE-relaxed structure.

```
8
Lattice="-3.5810 4.3501 3.6951 3.5810 -4.3501 3.6951 3.5810 4.3501 -3.6951" Properties=species:S:1:pos:R:3 pbc="T T T"
Li 0.0000 2.1750 0.3834
Li 3.5810 2.1750 3.3117
La 1.7905 4.1329 -1.8476
La 1.7905 -0.2172 1.8476
La -1.7905 4.5673 1.8476
La 1.7905 4.5673 1.8476
Sb 3.5810 2.1750 0.3069
Sb 0.0000 2.1750 3.3882
```

The 8 most intense peaks (10 to 90 degrees two-theta), in order of rising 2θ:
17.24 deg, I = 40; 26.84 deg, I = 27; 31.77 deg, I = 96; 32.38 deg, I = 100; 34.89 deg, I = 80; 55.30 deg, I = 45; 60.24 deg, I = 24; 61.36 deg, I = 29

***

Record 3
This entry pairs a crystal structure of Li2La2SmSb2 with its simulated powder XRD pattern. Radiation: Cu Kα, 1.54184 Å. Structure: a GGA-PBE-relaxed structure.

```
7
Lattice="2.3894 1.3795 9.3909 -2.3894 1.3795 9.3909 0.0000 -2.7590 9.3909" Properties=species:S:1:pos:R:3 pbc="T T T"
Li 0.0000 0.0000 2.7537
Li 0.0000 0.0000 25.4190
La 0.0000 0.0000 10.3928
La 0.0000 0.0000 17.7799
Sm 0.0000 0.0000 14.0864
Sb 0.0000 0.0000 6.5464
Sb 0.0000 0.0000 21.6263
```

The 8 most intense peaks (10 to 90 degrees two-theta), in order of rising 2θ:
21.70 deg, I = 70; 30.99 deg, I = 100; 33.41 deg, I = 83; 37.65 deg, I = 86; 49.53 deg, I = 27; 51.20 deg, I = 25; 62.94 deg, I = 37; 63.84 deg, I = 25

***

Repeat the first record exactly.
This entry pairs a crystal structure of LiLa3Sb2 with its simulated powder XRD pattern. Radiation: Cu Kα, 1.54184 Å. Structure: a GGA-PBE-relaxed structure.

```
6
Lattice="-2.0541 2.6743 9.0137 2.0541 -2.6743 9.0137 2.0541 2.6743 -9.0137" Properties=species:S:1:pos:R:3 pbc="T T T"
Li 0.0000 0.0000 0.0000
La 0.0000 0.0000 3.1729
La 0.0000 2.6743 0.0000
La 0.0000 0.0000 14.8546
Sb 0.0000 0.0000 6.3766
Sb 0.0000 0.0000 11.6509
```

The 8 most intense peaks (10 to 90 degrees two-theta), in order of rising 2θ:
22.23 deg, I = 34; 27.37 deg, I = 67; 29.15 deg, I = 100; 29.73 deg, I = 60; 33.06 deg, I = 38; 33.51 deg, I = 58; 33.95 deg, I = 90; 45.40 deg, I = 38